Record 1
For SrAc2Sc, the GGA-PBE geometry in Alexandria gives the theoretical X-ray powder pattern in this record (a wavelength of 1.5418 Å).
No peak broadening, texture or thermal motion is included.

Principal peaks in the range 2θ from 5° to 70°, in order of rising 2θ:
2θ/deg  Rel. int.
17.8  1
20.6  33
29.3  100
36.1  11
41.9  19
47.1  16
51.9  41
60.8  13
64.9  8
68.9  18

Atomic structure:
a = 6.098 Å, b = 6.098 Å, c = 6.098 Å
α = 60.00°, β = 60.00°, γ = 60.00°
Element x y z (fractional)
Sr: 0.000 0.000 0.000
Ac: 0.250 0.250 0.250
Ac: 0.750 0.750 0.750
Sc: 0.500 0.500 0.500

---

Record 2
For Zr4RhC2, the GGA-PBE geometry in Alexandria gives the theoretical X-ray powder pattern in this record (a wavelength of 1.5418 Å).
No peak broadening, texture or thermal motion is included.

Principal peaks in the range 2θ from 5° to 70°, in order of rising 2θ:
2θ/deg  Rel. int.
33.6  82
35.2  34
35.6  83
36.6  100
38.8  38
53.9  26
54.4  22
65.5  22
65.6  25
68.3  15

Atomic structure:
a = 5.876 Å, b = 5.876 Å, c = 12.096 Å
α = 90.00°, β = 90.00°, γ = 146.61°
Element x y z (fractional)
Zr: 0.000 0.000 0.000
Zr: 0.000 0.000 0.500
Zr: 0.270 0.730 0.607
Zr: 0.270 0.730 0.893
Zr: 0.431 0.569 0.250
Zr: 0.569 0.431 0.750
Zr: 0.730 0.270 0.107
Zr: 0.730 0.270 0.393
Rh: 0.111 0.889 0.250
Rh: 0.889 0.111 0.750
C: 0.365 0.635 0.061
C: 0.365 0.635 0.439
C: 0.635 0.365 0.561
C: 0.635 0.365 0.939

---

Record 3
For Pm8SiOs3Br4, the GGA-PBE geometry in Alexandria gives the theoretical X-ray powder pattern in this record (a wavelength of 1.5418 Å).
No peak broadening, texture or thermal motion is included.

Principal peaks in the range 2θ from 5° to 70°, in order of rising 2θ:
2θ/deg  Rel. int.
11.5  30
29.2  100
37.0  16
40.1  30
43.5  38
45.1  7
50.4  11
53.3  19
60.6  9
66.3  7

Atomic structure:
a = 9.051 Å, b = 9.051 Å, c = 9.051 Å
α = 54.77°, β = 54.77°, γ = 54.77°
Element x y z (fractional)
Pm: 0.219 0.738 0.738
Pm: 0.235 0.235 0.235
Pm: 0.262 0.262 0.781
Pm: 0.262 0.781 0.262
Pm: 0.738 0.219 0.738
Pm: 0.738 0.738 0.219
Pm: 0.765 0.765 0.765
Pm: 0.781 0.262 0.262
Si: 0.500 0.500 0.500
Os: 0.000 0.000 0.500
Os: 0.000 0.500 0.000
Os: 0.500 0.000 0.000
Br: 0.000 0.000 0.000
Br: 0.000 0.500 0.500
Br: 0.500 0.000 0.500
Br: 0.500 0.500 0.000

---

Record 4
For Cs2MgTlBr5, the GGA-PBE geometry in Alexandria gives the theoretical X-ray powder pattern in this record (a wavelength of 1.5418 Å).
No peak broadening, texture or thermal motion is included.

Principal peaks in the range 2θ from 5° to 70°, in order of rising 2θ:
2θ/deg  Rel. int.
19.3  30
22.7  80
28.8  100
31.0  69
31.2  81
33.7  40
39.2  24
46.5  45
56.8  26
56.9  29

Atomic structure:
a = 9.735 Å, b = 9.735 Å, c = 9.735 Å
α = 148.30°, β = 132.51°, γ = 58.23°
Element x y z (fractional)
Cs: 0.208 0.208 0.000
Cs: 0.792 0.792 0.000
Mg: 0.000 0.500 0.500
Tl: 0.500 0.000 0.500
Br: 0.000 0.000 0.000
Br: 0.137 0.388 0.749
Br: 0.361 0.612 0.749
Br: 0.639 0.388 0.251
Br: 0.863 0.612 0.251

---

Record 5
For Ga2Cu13, the GGA-PBE geometry in Alexandria gives the theoretical X-ray powder pattern in this record (a wavelength of 1.5418 Å).
No peak broadening, texture or thermal motion is included.

Principal peaks in the range 2θ from 5° to 70°, in order of rising 2θ:
2θ/deg  Rel. int.
42.6  100
43.0  33
49.3  21
49.5  21
50.4  20

Atomic structure:
a = 4.440 Å, b = 6.370 Å, c = 6.921 Å
α = 107.99°, β = 95.87°, γ = 90.75°
Element x y z (fractional)
Ga: 0.072 0.142 0.394
Ga: 0.928 0.858 0.606
Cu: 0.000 0.000 0.000
Cu: 0.137 0.267 0.802
Cu: 0.202 0.404 0.195
Cu: 0.269 0.532 0.603
Cu: 0.333 0.666 0.001
Cu: 0.394 0.799 0.400
Cu: 0.466 0.934 0.804
Cu: 0.534 0.066 0.196
Cu: 0.606 0.201 0.600
Cu: 0.667 0.334 0.999
Cu: 0.731 0.468 0.397
Cu: 0.798 0.596 0.805
Cu: 0.863 0.733 0.198

---

Record 6
For Ac3PmRh, the GGA-PBE geometry in Alexandria gives the theoretical X-ray powder pattern in this record (a wavelength of 1.5418 Å).
No peak broadening, texture or thermal motion is included.

Principal peaks in the range 2θ from 5° to 70°, in order of rising 2θ:
2θ/deg  Rel. int.
26.0  53
28.0  100
28.8  48
29.9  29
36.0  30
43.8  17
45.4  33
46.7  14
48.1  22
51.7  17

Atomic structure:
a = 9.973 Å, b = 4.132 Å, c = 9.411 Å
α = 90.00°, β = 90.00°, γ = 90.00°
Element x y z (fractional)
Ac: 0.037 0.000 0.233
Ac: 0.250 0.500 0.549
Ac: 0.463 0.000 0.233
Ac: 0.537 0.000 0.767
Ac: 0.750 0.500 0.451
Ac: 0.963 0.000 0.767
Pm: 0.250 0.500 0.948
Pm: 0.750 0.500 0.052
Rh: 0.250 0.500 0.243
Rh: 0.750 0.500 0.757

---

Record 7
For Tb5YHo5, the GGA-PBE geometry in Alexandria gives the theoretical X-ray powder pattern in this record (a wavelength of 1.5418 Å).
No peak broadening, texture or thermal motion is included.

Principal peaks in the range 2θ from 5° to 70°, in order of rising 2θ:
2θ/deg  Rel. int.
31.6  40
31.8  68
32.2  100
32.3  15
32.8  51
33.8  43
34.0  18
44.5  15
48.6  16
58.6  17

Atomic structure:
a = 6.833 Å, b = 6.951 Å, c = 8.309 Å
α = 76.04°, β = 76.83°, γ = 72.39°
Element x y z (fractional)
Tb: 0.000 0.000 0.000
Tb: 0.156 0.133 0.358
Tb: 0.324 0.270 0.654
Tb: 0.676 0.730 0.346
Tb: 0.844 0.867 0.642
Y: 0.000 0.500 0.000
Ho: 0.210 0.639 0.312
Ho: 0.354 0.750 0.720
Ho: 0.500 0.000 0.000
Ho: 0.646 0.250 0.280
Ho: 0.790 0.361 0.688

---

Record 8
For Ca2P2H4O9, the GGA-PBE geometry in Alexandria gives the theoretical X-ray powder pattern in this record (a wavelength of 1.5418 Å).
No peak broadening, texture or thermal motion is included.

Principal peaks in the range 2θ from 5° to 70°, in order of rising 2θ:
2θ/deg  Rel. int.
11.0  84
12.5  100
25.6  35
27.3  86
28.3  84
28.8  53
29.8  41
31.9  46
33.3  28
39.4  31

Atomic structure:
a = 6.748 Å, b = 7.428 Å, c = 8.277 Å
α = 85.19°, β = 77.32°, γ = 72.83°
Element x y z (fractional)
Ca: 0.189 0.250 0.008
Ca: 0.240 0.641 0.259
Ca: 0.760 0.359 0.741
Ca: 0.811 0.750 0.992
P: 0.239 0.509 0.689
P: 0.334 0.788 0.855
P: 0.666 0.212 0.145
P: 0.761 0.491 0.311
H: 0.169 0.275 0.526
H: 0.181 0.055 0.361
H: 0.194 0.091 0.639
H: 0.404 0.988 0.245
H: 0.596 0.012 0.755
H: 0.806 0.909 0.361
H: 0.819 0.945 0.639
H: 0.831 0.725 0.474
O: 0.021 0.512 0.801
O: 0.106 0.168 0.562
O: 0.161 0.763 0.002
O: 0.247 0.479 0.509
O: 0.252 0.999 0.251
O: 0.275 0.716 0.694
O: 0.323 0.997 0.814
O: 0.408 0.364 0.767
O: 0.442 0.329 0.130
O: 0.558 0.671 0.870
O: 0.592 0.636 0.233
O: 0.677 0.003 0.186
O: 0.725 0.284 0.306
O: 0.748 0.001 0.749
O: 0.753 0.521 0.491
O: 0.839 0.237 0.998
O: 0.894 0.832 0.438
O: 0.979 0.488 0.199